No. 1
For Ba4LiB3N6, a crystal structure in the Materials Project, relaxed with PBE gives the theoretical XRD peak list in this record (Cu Kα, 1.54184 Å).
No peak broadening, texture or thermal motion is included.

Cell and atoms:
Unit cell a=7.9380 b=7.9380 c=7.9380 alpha=90.00 beta=90.00 gamma=90.00
Space group Im-3m (No. 229)
Asymmetric unit:
Ba  0.2500  0.2500  0.2500 (multiplicity 8)
Li  0.0000  0.0000  0.0000 (multiplicity 2)
B  0.0000  0.0000  0.5000 (multiplicity 6)
N  0.0000  0.0000  0.3290 (multiplicity 12)

Top 10 peaks for 2θ from 10° to 80°, low angle first:
| (hkl) | 2θ/deg | Rel. int. |
| --- | --- | --- |
| 2 0 0 | 22.40 | 79 |
| 2 1 1 | 27.52 | 2 |
| 2 2 0 | 31.89 | 100 |
| 2 2 2 | 39.32 | 36 |
| 4 0 0 | 45.72 | 21 |
| 4 2 0 | 51.48 | 41 |
| 4 2 2 | 56.82 | 33 |
| 4 4 0 | 66.65 | 12 |
| 4 4 2 | 71.28 | 21 |
| 6 2 0 | 75.79 | 18 |

No. 2
For BaLiB9O15, a crystal structure in the Materials Project, relaxed with PBE gives the theoretical XRD peak list in this record (Cu Kα, 1.54184 Å).
No peak broadening, texture or thermal motion is included.

Cell and atoms:
Unit cell a=11.1862 b=11.1862 c=17.2292 alpha=90.00 beta=90.00 gamma=120.00
Space group R3c (No. 161, hexagonal axes)
Asymmetric unit:
Ba  0.0000  0.0000  0.0000 (multiplicity 6)
Li  0.0000  0.0000  0.2516 (multiplicity 6)
B  0.9998  0.4304  0.2481 (multiplicity 18)
B  0.0626  0.4628  0.8545 (multiplicity 18)
B  0.1294  0.3958  0.9750 (multiplicity 18)
O  0.0002  0.1740  0.2482 (multiplicity 18)
O  0.0167  0.2672  0.9690 (multiplicity 18)
O  0.0825  0.3992  0.1939 (multiplicity 18)
O  0.1027  0.5508  0.7931 (multiplicity 18)
O  0.2176  0.4363  0.0363 (multiplicity 18)

Top 10 peaks for 2θ from 10° to 80°, low angle first:
| (hkl) | 2θ/deg | Rel. int. |
| --- | --- | --- |
| 0 1 2 | 13.76 | 100 |
| 1 1 3 | 22.19 | 30 |
| 1 0 4 | 22.59 | 40 |
| 1 2 2 | 26.45 | 100 |
| 3 0 0 | 27.67 | 31 |
| 2 1 4 | 32.07 | 46 |
| 0 4 2 | 38.62 | 23 |
| 1 3 4 | 39.53 | 22 |
| 3 0 6 | 42.11 | 21 |
| 4 0 4 | 42.81 | 44 |

No. 3
For BaLiB9O15, a crystal structure in the Materials Project, relaxed with PBE gives the theoretical XRD peak list in this record (Cu Kα, 1.54184 Å).
No peak broadening, texture or thermal motion is included.

Cell and atoms:
Unit cell a=11.1786 b=11.1786 c=17.1906 alpha=90.00 beta=90.00 gamma=120.00
Space group R-3c (No. 167, hexagonal axes)
Asymmetric unit:
Ba  0.0000  0.0000  0.0000 (multiplicity 6)
Li  0.0000  0.0000  0.2500 (multiplicity 6)
B  0.0000  0.4304  0.2500 (multiplicity 18)
B  0.0632  0.4628  0.8560 (multiplicity 36)
O  0.0000  0.1736  0.2500 (multiplicity 18)
O  0.0163  0.2681  0.9716 (multiplicity 36)
O  0.1036  0.5512  0.7946 (multiplicity 36)

Top 10 peaks for 2θ from 10° to 80°, low angle first:
| (hkl) | 2θ/deg | Rel. int. |
| --- | --- | --- |
| 0 1 2 | 13.78 | 100 |
| 1 1 3 | 22.22 | 29 |
| 1 0 4 | 22.64 | 39 |
| 1 2 2 | 26.47 | 100 |
| 2 1 4 | 32.13 | 37 |
| 0 4 2 | 38.65 | 23 |
| 1 3 4 | 39.58 | 22 |
| 3 0 6 | 42.18 | 22 |
| 4 1 0 | 42.79 | 27 |
| 4 0 4 | 42.88 | 22 |

No. 4
For Ba2LiB5O10, a crystal structure in the Materials Project, relaxed with PBE gives the theoretical XRD peak list in this record (Cu Kα, 1.54184 Å).
No peak broadening, texture or thermal motion is included.

Cell and atoms:
Unit cell a=4.4678 b=14.8743 c=6.7767 alpha=90.00 beta=104.22 gamma=90.00
Space group P2_1/m (No. 11)
Asymmetric unit:
Ba  0.1661  0.0870  0.3018 (multiplicity 4)
Li  0.4910  0.7500  0.9790 (multiplicity 2)
B  0.0621  0.6646  0.1802 (multiplicity 4)
B  0.2716  0.7500  0.5051 (multiplicity 2)
B  0.4496  0.0808  0.8197 (multiplicity 4)
O  0.1226  0.7500  0.0875 (multiplicity 2)
O  0.1682  0.6688  0.4065 (multiplicity 4)
O  0.2253  0.5891  0.1063 (multiplicity 4)
O  0.2763  0.1456  0.8912 (multiplicity 4)
O  0.3300  0.0138  0.6910 (multiplicity 4)
O  0.4608  0.7500  0.6939 (multiplicity 2)

Top 10 peaks for 2θ from 10° to 80°, low angle first:
| (hkl) | 2θ/deg | Rel. int. |
| --- | --- | --- |
| 0 2 0 | 11.90 | 32 |
| 1 0 -1 | 21.63 | 28 |
| 0 3 1 | 22.47 | 62 |
| 0 0 2 | 27.15 | 27 |
| 1 3 0 | 27.33 | 100 |
| 1 3 -1 | 28.21 | 67 |
| 1 0 -2 | 29.79 | 35 |
| 0 3 2 | 32.70 | 24 |
| 1 4 1 | 36.62 | 22 |
| 1 3 2 | 42.55 | 37 |

No. 5
For BaLiB3S6, a crystal structure in the Materials Project, relaxed with PBE gives the theoretical XRD peak list in this record (Cu Kα, 1.54184 Å).
No peak broadening, texture or thermal motion is included.

Cell and atoms:
Unit cell a=15.3056 b=8.9276 c=8.4297 alpha=90.00 beta=117.79 gamma=90.00
Space group Cc (No. 9)
Asymmetric unit:
Ba  0.0000  0.1220  0.0000 (multiplicity 4)
Li  0.1579  0.3976  0.4562 (multiplicity 4)
B  0.2410  0.0023  0.9744 (multiplicity 4)
B  0.3298  0.3155  0.0480 (multiplicity 4)
B  0.4597  0.0433  0.0720 (multiplicity 4)
S  0.0745  0.4632  0.1103 (multiplicity 4)
S  0.1372  0.1155  0.4303 (multiplicity 4)
S  0.2175  0.2035  0.9650 (multiplicity 4)
S  0.3304  0.4921  0.6054 (multiplicity 4)
S  0.3593  0.0867  0.5308 (multiplicity 4)
S  0.4512  0.2473  0.0864 (multiplicity 4)

Top 10 peaks for 2θ from 10° to 80°, low angle first:
| (hkl) | 2θ/deg | Rel. int. |
| --- | --- | --- |
| 1 1 0 | 11.87 | 38 |
| 2 0 0 | 13.08 | 36 |
| 1 1 -1 | 14.49 | 29 |
| 3 1 -1 | 20.23 | 21 |
| 0 0 2 | 23.84 | 100 |
| 1 1 2 | 29.41 | 29 |
| 4 2 -1 | 30.77 | 44 |
| 5 1 -1 | 31.07 | 19 |
| 1 3 -1 | 31.91 | 25 |
| 4 2 1 | 39.53 | 19 |